Entry 1:
Structure and theoretical powder X-ray diffraction pattern of Te2MoW3Se6 (the GGA-PBE geometry in the Materials Project; Cu Kα (λ = 1.5418 Å)).

Most intense lines, 2θ from 15° to 90°, sorted by position:
d (Å)	2theta	intensity	hkl
2.928	30.54	46.8	1 0 0
2.737	32.72	18.3	1 0 5
2.502	35.90	100.0	1 0 8
2.331	38.63	15.2	0 1 10
2.082	43.47	61.9	0 1 13
2.004	45.24	20.2	1 0 14
1.691	54.26	35.0	1 1 0
1.651	55.66	14.2	1 1 5
1.401	66.78	16.3	0 2 8
1.243	76.68	16.5	1 1 21

Crystal structure
a = 3.3816 Å, b = 3.3816 Å, c = 38.4862 Å
α = 90.00°, β = 90.00°, γ = 120.00°
Space group P3m1 (No. 156)
Symmetry-distinct sites (fractional):
Te (0.0000, 0.0000, 0.0000) (multiplicity 1)
Te (0.0000, 0.0000, 0.0982) (multiplicity 1)
Mo (0.3333, 0.6667, 0.6734) (multiplicity 1)
W (0.0000, 0.0000, 0.4855) (multiplicity 1)
W (0.0000, 0.0000, 0.8612) (multiplicity 1)
W (0.3333, 0.6667, 0.0491) (multiplicity 1)
Se (0.0000, 0.0000, 0.6303) (multiplicity 1)
Se (0.0000, 0.0000, 0.7164) (multiplicity 1)
Se (0.3333, 0.6667, 0.4424) (multiplicity 1)
Se (0.3333, 0.6667, 0.5287) (multiplicity 1)
Se (0.3333, 0.6667, 0.8181) (multiplicity 1)
Se (0.3333, 0.6667, 0.9044) (multiplicity 1)

=====

Entry 2:
Structure and theoretical powder X-ray diffraction pattern of Na2SO4 (the GGA-PBE geometry in the Materials Project; Cu Kα (λ = 1.5418 Å)).

Most intense lines, 2θ from 15° to 90°, sorted by position:
d (Å)	2theta	intensity	hkl
4.718	18.81	55.8	1 1 1
3.220	27.70	42.1	1 1 3
3.116	28.65	37.3	0 0 4
2.821	31.72	100.0	1 3 1
2.679	33.45	45.1	2 0 2
2.359	38.15	22.5	2 2 2
1.889	48.17	44.1	1 3 5
1.702	53.88	18.3	2 0 6
1.573	58.71	15.9	3 3 3
1.313	71.93	13.4	2 6 4

Crystal structure
a = 5.9342 Å, b = 9.9550 Å, c = 12.4625 Å
α = 90.00°, β = 90.00°, γ = 90.00°
Space group Fddd (No. 70, origin choice 2)
Symmetry-distinct sites (fractional):
Na (0.1250, 0.3102, 0.1250) (multiplicity 16)
S (0.1250, 0.1250, 0.6250) (multiplicity 8)
O (0.0206, 0.2864, 0.9427) (multiplicity 32)

=====

Entry 3:
Structure and theoretical powder X-ray diffraction pattern of Hg4SbO6 (the GGA-PBE geometry in the Materials Project; Cu Kα (λ = 1.5418 Å)).

Most intense lines, 2θ from 15° to 90°, sorted by position:
d (Å)	2theta	intensity	hkl
3.494	25.49	100.0	1 -1 0
3.398	26.23	84.0	1 1 -1
2.665	33.63	72.3	0 1 2
2.659	33.71	32.1	1 0 2
2.648	33.86	41.1	1 0 -3
2.454	36.62	29.7	0 2 -1
2.418	37.18	30.9	2 0 -1
1.811	50.40	24.0	-1 2 2
1.800	50.71	15.5	-2 1 3
1.788	51.08	29.3	1 2 1

Crystal structure
a = 4.8387 Å, b = 4.9098 Å, c = 8.6280 Å
α = 106.23°, β = 105.56°, γ = 91.61°
Space group P1 (No. 1)
Symmetry-distinct sites (fractional):
Hg (0.0000, 0.0000, 0.0000) (multiplicity 1)
Hg (0.1527, 0.1949, 0.3459) (multiplicity 1)
Hg (0.6185, 0.6068, 0.2311) (multiplicity 1)
Hg (0.7879, 0.7939, 0.5769) (multiplicity 1)
Sb (0.3942, 0.3984, 0.7884) (multiplicity 1)
O (0.0868, 0.6470, 0.7885) (multiplicity 1)
O (0.1207, 0.0832, 0.5785) (multiplicity 1)
O (0.3277, 0.2898, 0.9964) (multiplicity 1)
O (0.4597, 0.5049, 0.5799) (multiplicity 1)
O (0.6684, 0.7106, 0.9985) (multiplicity 1)
O (0.7011, 0.1470, 0.7882) (multiplicity 1)

=====

Entry 4:
Structure and theoretical powder X-ray diffraction pattern of MgFe2Cu6SnS8 (the GGA-PBE geometry in the Materials Project; Cu Kα (λ = 1.5418 Å)).

Most intense lines, 2θ from 15° to 90°, sorted by position:
d (Å)	2theta	intensity	hkl
3.159	28.25	100.0	2 0 1
2.836	31.54	9.8	0 0 2
2.690	33.31	17.6	2 2 0
1.952	46.53	62.3	2 2 2
1.902	47.82	28.7	4 0 0
1.693	54.17	14.4	2 0 3
1.630	56.47	25.3	4 2 1
1.265	75.12	10.6	4 2 3
1.137	85.39	9.0	4 0 4
1.107	88.23	17.0	6 2 2

Crystal structure
a = 7.6081 Å, b = 7.6081 Å, c = 5.6727 Å
α = 90.00°, β = 90.00°, γ = 90.00°
Space group P-4m2 (No. 115)
Symmetry-distinct sites (fractional):
Mg (0.0000, 0.0000, 0.0000) (multiplicity 1)
Fe (0.5000, 0.5000, 0.0000) (multiplicity 1)
Fe (0.5000, 0.5000, 0.5000) (multiplicity 1)
Cu (0.0000, 0.5000, 0.4754) (multiplicity 2)
Cu (0.2576, 0.2576, 0.0000) (multiplicity 4)
Sn (0.0000, 0.0000, 0.5000) (multiplicity 1)
S (0.0000, 0.2781, 0.7738) (multiplicity 4)
S (0.2581, 0.5000, 0.2567) (multiplicity 4)

=====

Entry 5:
Structure and theoretical powder X-ray diffraction pattern of Rb3IO5 (the GGA-PBE geometry in the Materials Project; Cu Kα (λ = 1.5418 Å)).

Most intense lines, 2θ from 15° to 90°, sorted by position:
d (Å)	2theta	intensity	hkl
5.233	16.94	23.1	1 1 1
3.275	27.23	96.0	0 2 2
3.179	28.07	94.0	2 0 2
3.163	28.22	100.0	2 2 0
2.328	38.67	26.2	0 0 4
2.303	39.11	28.6	0 4 0
2.175	41.52	20.8	4 0 0
1.875	48.56	33.9	2 2 4
1.865	48.83	36.8	2 4 2
1.812	50.36	29.5	4 2 2

Crystal structure
a = 8.7003 Å, b = 9.2133 Å, c = 9.3127 Å
α = 90.00°, β = 90.00°, γ = 90.00°
Space group Pnna (No. 52)
Symmetry-distinct sites (fractional):
Rb (0.0358, 0.2500, 0.2500) (multiplicity 4)
Rb (0.2500, 0.0000, 0.5209) (multiplicity 4)
Rb (0.2500, 0.0000, 0.9754) (multiplicity 4)
I (0.0129, 0.2500, 0.7500) (multiplicity 4)
O (0.0195, 0.7236, 0.4481) (multiplicity 8)
O (0.0405, 0.5543, 0.2241) (multiplicity 8)
O (0.2236, 0.2500, 0.7500) (multiplicity 4)

=====

Entry 6:
Structure and theoretical powder X-ray diffraction pattern of Ta2ZnCu2O8 (the GGA-PBE geometry in the Materials Project; Cu Kα (λ = 1.5418 Å)).

Most intense lines, 2θ from 15° to 90°, sorted by position:
d (Å)	2theta	intensity	hkl
4.342	20.45	51.6	0 2 0
4.093	21.71	47.5	0 2 1
4.056	21.92	38.5	1 1 -2
3.275	27.23	44.7	1 1 -3
3.192	27.96	61.1	1 1 3
3.153	28.30	53.4	1 2 -2
3.066	29.13	100.0	0 0 4
3.034	29.44	71.6	2 1 -1
2.989	29.89	97.8	2 1 1
2.818	31.75	53.0	0 3 1

Crystal structure
a = 6.6567 Å, b = 8.6839 Å, c = 12.2705 Å
α = 90.00°, β = 91.93°, γ = 90.00°
Space group P2_1/c (No. 14)
Symmetry-distinct sites (fractional):
Ta (0.0973, 0.0453, 0.3442) (multiplicity 4)
Ta (0.3883, 0.5883, 0.3643) (multiplicity 4)
Zn (0.1086, 0.1634, 0.0525) (multiplicity 4)
Cu (0.2347, 0.6844, 0.6228) (multiplicity 4)
Cu (0.3756, 0.0589, 0.6240) (multiplicity 4)
O (0.0375, 0.2433, 0.4004) (multiplicity 4)
O (0.0891, 0.1070, 0.6131) (multiplicity 4)
O (0.1173, 0.0438, 0.1947) (multiplicity 4)
O (0.1888, 0.5800, 0.4721) (multiplicity 4)
O (0.2996, 0.6275, 0.2162) (multiplicity 4)
O (0.3465, 0.5159, 0.8985) (multiplicity 4)
O (0.4106, 0.2225, 0.0865) (multiplicity 4)
O (0.4995, 0.6023, 0.6384) (multiplicity 4)